For Pm2HgPb3, a crystal structure in Alexandria, relaxed with PBE gives the theoretical XRD peak list in this record (Cu Kα (weighted mean of Kα1 and Kα2)).
Lines closer than 0.1° are merged.

Most intense lines, 10 to 90 degrees two-theta, low angle first:
2θ/deg  intensity
31.99  100
34.31  19
37.84  17
39.01  15
52.00  12
59.99  13
64.69  14
66.29  13

Structural model:
```
Pm2HgPb3
1.0
2.309 -7.841 0.000
2.309 7.841 0.000
0.000 0.000 4.755
Pm Hg Pb
2 1 3
direct
0.149 0.851 0.000 Pm
0.851 0.149 0.000 Pm
0.000 0.000 0.500 Hg
0.325 0.675 0.500 Pb
0.500 0.500 0.000 Pb
0.675 0.325 0.500 Pb
```

---

For DyBiF, a crystal structure in Alexandria, relaxed with PBE gives the theoretical XRD peak list in this record (Cu Kα (weighted mean of Kα1 and Kα2)).
Lines closer than 0.1° are merged.

Most intense lines, 10 to 90 degrees two-theta, low angle first:
2θ/deg  intensity
25.89  23
31.68  100
36.34  17
45.66  27
56.64  20
59.71  24
62.48  15
75.60  17

Structural model:
```
DyBiF
1.0
3.974 0.000 0.000
-1.987 3.441 0.000
0.000 0.000 4.944
Dy Bi F
1 1 1
direct
0.000 0.000 0.000 Dy
0.667 0.333 0.500 Bi
0.333 0.667 0.000 F
```